Structure and computed X-ray diffraction stick pattern of Mo3WSe2S6 (a crystal structure in the Materials Project, relaxed with GGA-PBE; Cu Kα (λ = 1.5418 Å)).
Neutral-atom scattering factors, no anomalous dispersion.

Atomic structure:
```
Mo3WSe2S6
1.0
3.2223 0.0000 0.0000
-1.6111 2.7906 0.0000
0.0000 0.0000 36.3815
Mo W Se S
3 1 2 6
Cartesian
0.0000 0.0000 0.0000
0.0000 0.0000 13.6698
0.0000 1.8604 6.8351
0.0000 1.8604 20.5057
0.0000 0.0000 18.7833
0.0000 0.0000 22.2280
0.0000 0.0000 5.2807
0.0000 0.0000 8.3904
0.0000 1.8604 1.5553
0.0000 1.8604 12.1153
0.0000 1.8604 15.2250
0.0000 1.8604 34.8266
```

Principal peaks in the range 10° ≤ 2θ ≤ 80°, sorted by position:
2θ 12.2, I = 100.0; 2θ 14.6, I = 20.2; 2θ 32.1, I = 22.0; 2θ 32.9, I = 10.6; 2θ 34.4, I = 14.9; 2θ 35.4, I = 10.4; 2θ 37.8, I = 58.1; 2θ 40.8, I = 11.7; 2θ 45.9, I = 34.0; 2θ 47.8, I = 11.2; 2θ 57.2, I = 18.4; 2θ 58.7, I = 10.0

=====

Structure and computed X-ray diffraction stick pattern of K2H6PbO6 (a crystal structure in the Materials Project, relaxed with GGA-PBE; Cu Kα (λ = 1.5418 Å)).
Neutral-atom scattering factors, no anomalous dispersion.

Atomic structure:
```
K2H6PbO6
1.0
3.3596 1.9397 4.4164
-3.3596 1.9397 4.4164
0.0000 -3.8793 4.4164
K H Pb O
2 6 1 6
Cartesian
0.0000 0.0000 2.8409
0.0000 0.0000 10.4085
-0.3247 -1.9683 4.8240
-1.5422 1.2654 4.8240
-1.8669 -0.7029 8.4254
1.8670 0.7029 4.8239
1.5422 -1.2654 8.4254
0.3247 1.9683 8.4254
0.0000 0.0000 6.6247
-1.7736 0.4791 5.3809
-1.3017 -1.2965 7.8685
0.4719 -1.7755 5.3809
-0.4719 1.7755 7.8685
1.3017 1.2964 5.3808
1.7736 -0.4791 7.8685
```

Principal peaks in the range 10° ≤ 2θ ≤ 80°, sorted by position:
2θ 16.6, I = 100.0; 2θ 20.1, I = 29.5; 2θ 20.3, I = 42.1; 2θ 26.5, I = 54.2; 2θ 31.1, I = 30.9; 2θ 31.5, I = 21.1; 2θ 33.5, I = 73.0; 2θ 41.3, I = 29.7; 2θ 46.8, I = 17.0; 2θ 49.8, I = 19.8; 2θ 51.5, I = 19.0; 2θ 58.8, I = 18.0

=====

Structure and computed X-ray diffraction stick pattern of CsRb2SiF7 (a crystal structure in the Materials Project, relaxed with GGA-PBE; Cu Kα (λ = 1.5418 Å)).
Neutral-atom scattering factors, no anomalous dispersion.

Atomic structure:
```
CsRb2SiF7
1.0
8.2407 0.0000 0.0000
0.0000 8.2407 0.0000
0.0000 0.0000 5.9592
Cs Rb Si F
2 4 2 14
Cartesian
0.0000 0.0000 0.0000
4.1203 4.1203 0.0000
1.6127 2.5077 2.9796
2.5077 6.6280 2.9796
5.7330 1.6127 2.9796
6.6280 5.7330 2.9796
0.0000 4.1203 0.0000
4.1203 0.0000 0.0000
0.0000 0.0000 2.9796
0.8560 4.9764 1.2295
0.8560 4.9764 4.7297
1.2136 2.9068 0.0000
2.9068 7.0271 0.0000
3.2643 0.8560 1.2295
3.2643 0.8560 4.7297
4.1203 4.1203 2.9796
4.9764 7.3846 1.2295
4.9764 7.3846 4.7297
5.3339 1.2136 0.0000
7.0271 5.3339 0.0000
7.3846 3.2643 1.2295
7.3846 3.2643 4.7297
```

Principal peaks in the range 10° ≤ 2θ ≤ 80°, sorted by position:
2θ 24.1, I = 12.9; 2θ 26.3, I = 100.0; 2θ 28.5, I = 16.3; 2θ 30.0, I = 26.0; 2θ 30.7, I = 39.9; 2θ 34.4, I = 32.1; 2θ 38.9, I = 28.7; 2θ 43.4, I = 27.5; 2θ 45.4, I = 12.2; 2θ 46.3, I = 17.2; 2θ 51.0, I = 13.7; 2θ 51.9, I = 12.2

=====

Structure and computed X-ray diffraction stick pattern of HfMn2 (a crystal structure in the Materials Project, relaxed with GGA-PBE; Cu Kα (λ = 1.5418 Å)).
Neutral-atom scattering factors, no anomalous dispersion.

Atomic structure:
```
HfMn2
1.0
4.8956 0.0000 0.0000
-2.4478 4.2397 0.0000
0.0000 0.0000 8.1624
Hf Mn
4 8
Cartesian
0.0000 2.8265 0.5217
0.0000 2.8265 3.5595
2.4478 1.4132 4.6029
2.4478 1.4132 7.6407
0.0000 0.0000 0.0000
0.0000 0.0000 4.0812
0.0000 1.4471 6.1218
-1.1946 3.5162 6.1218
1.2532 0.7236 2.0406
1.1946 3.5162 6.1218
3.6424 0.7236 2.0406
2.4478 2.7926 2.0406
```

Principal peaks in the range 10° ≤ 2θ ≤ 80°, sorted by position:
2θ 21.0, I = 19.3; 2θ 23.6, I = 14.4; 2θ 30.4, I = 13.9; 2θ 36.7, I = 66.5; 2θ 39.3, I = 100.0; 2θ 42.7, I = 14.7; 2θ 43.1, I = 86.4; 2θ 44.1, I = 43.9; 2θ 67.9, I = 37.9; 2θ 70.5, I = 19.4; 2θ 73.2, I = 24.2; 2θ 78.1, I = 18.6

=====

Structure and computed X-ray diffraction stick pattern of Eu2Ti2O5 (a crystal structure in the Materials Project, relaxed with GGA-PBE; Cu Kα (λ = 1.5418 Å)).
Neutral-atom scattering factors, no anomalous dispersion.

Atomic structure:
```
Eu2Ti2O5
1.0
3.9565 0.0000 0.0000
0.0000 3.9565 0.0000
0.0000 0.0000 7.4728
Eu Ti O
2 2 5
Cartesian
0.0000 0.0000 0.0000
0.0000 0.0000 3.7364
1.9783 1.9783 1.7654
1.9783 1.9783 5.7074
0.0000 1.9783 1.6774
0.0000 1.9783 5.7954
1.9783 0.0000 1.6774
1.9783 0.0000 5.7954
1.9783 1.9783 3.7364
```

Principal peaks in the range 10° ≤ 2θ ≤ 80°, sorted by position:
2θ 22.5, I = 31.3; 2θ 23.8, I = 9.6; 2θ 32.0, I = 45.3; 2θ 33.0, I = 100.0; 2θ 40.3, I = 33.3; 2θ 45.9, I = 30.4; 2θ 48.7, I = 11.7; 2θ 57.6, I = 39.5; 2θ 59.5, I = 16.1; 2θ 66.9, I = 9.1; 2θ 69.2, I = 15.3; 2θ 76.6, I = 8.6

=====

Structure and computed X-ray diffraction stick pattern of V5Ge3 (a crystal structure in the Materials Project, relaxed with GGA-PBE; Cu Kα (λ = 1.5418 Å)).
Neutral-atom scattering factors, no anomalous dispersion.

Atomic structure:
```
V5Ge3
1.0
7.2728 0.0000 0.0000
-3.6364 6.2984 0.0000
0.0000 0.0000 4.9480
V Ge
10 6
Cartesian
-0.8832 1.5297 1.2370
-2.7532 4.7687 3.7110
1.7664 0.0000 1.2370
0.8832 1.5297 3.7110
0.0000 4.1990 0.0000
0.0000 4.1990 2.4740
3.6364 2.0995 0.0000
3.6364 2.0995 2.4740
5.5065 0.0000 3.7110
2.7532 4.7687 1.2370
-1.4272 2.4719 3.7110
-2.2092 3.8265 1.2370
2.8543 0.0000 3.7110
1.4272 2.4719 1.2370
4.4185 0.0000 1.2370
2.2092 3.8265 3.7110
```

Principal peaks in the range 10° ≤ 2θ ≤ 80°, sorted by position:
2θ 14.1, I = 14.3; 2θ 30.5, I = 15.9; 2θ 36.3, I = 25.0; 2θ 37.8, I = 22.6; 2θ 42.1, I = 100.0; 2θ 43.1, I = 46.2; 2θ 44.3, I = 66.4; 2θ 46.7, I = 11.3; 2θ 53.7, I = 10.9; 2θ 55.8, I = 21.1; 2θ 63.5, I = 11.6; 2θ 69.3, I = 20.8

=====

Structure and computed X-ray diffraction stick pattern of Ca3SiO5 (a crystal structure in the Materials Project, relaxed with GGA-PBE; Cu Kα (λ = 1.5418 Å)).
Neutral-atom scattering factors, no anomalous dispersion.

Atomic structure:
```
Ca3SiO5
1.0
3.5899 2.0726 8.4884
-3.5899 2.0726 8.4884
0.0000 -4.1453 8.4884
Ca Si O
9 3 15
Cartesian
-1.7937 -1.0356 8.4884
-1.6196 -0.9351 14.1668
0.0000 -1.8696 11.3147
-1.6191 0.9348 11.3147
1.7937 -1.0356 8.4883
0.0000 2.0712 8.4883
1.6196 -0.9351 14.1668
0.0000 1.8701 14.1668
1.6191 0.9348 11.3147
0.0000 0.0000 5.4884
0.0000 0.0000 19.8740
0.0000 0.0000 25.3247
-2.2376 -1.2919 11.9056
0.0000 -2.5884 8.9107
-2.2416 1.2942 8.9107
0.0000 0.0000 3.8135
0.0000 -2.6016 14.5589
-2.2530 1.3008 14.5589
0.0000 0.0000 9.8317
0.0000 0.0000 12.7722
0.0000 0.0000 15.6817
2.2376 -1.2919 11.9056
0.0000 2.5837 11.9056
0.0000 0.0000 18.2367
2.2416 1.2942 8.9107
0.0000 0.0000 23.6554
2.2530 1.3008 14.5589
```

Principal peaks in the range 10° ≤ 2θ ≤ 80°, sorted by position:
2θ 14.7, I = 19.3; 2θ 28.9, I = 74.0; 2θ 29.6, I = 24.2; 2θ 31.6, I = 77.7; 2θ 32.0, I = 100.0; 2θ 33.8, I = 75.7; 2θ 40.6, I = 44.9; 2θ 46.1, I = 26.3; 2θ 50.9, I = 78.5; 2θ 55.4, I = 35.5; 2θ 58.8, I = 24.2; 2θ 61.1, I = 39.2